# 1
Structure and theoretical powder diffraction line list of K4Ce3NiSe8 (DFT lattice parameters and positions (PBE); a wavelength of 1.5418 Å).
Peak positions follow from Bragg's law for the DFT cell and can differ from measured ones.

Top 6 peaks for 10° ≤ 2θ ≤ 90°, by intensity:
29.0 deg, I 100, hkl 2 2 -2; 11.6 deg, I 73, hkl 0 0 1; 28.6 deg, I 55, hkl 4 0 0; 39.9 deg, I 49, hkl 2 2 2; 42.5 deg, I 38, hkl 6 2 -2; 36.8 deg, I 20, hkl 2 2 -3

Crystal structure
abc: 14.8098 8.4173 9.0930
angles: 90.00 122.66 90.00
Space group C2/m (No. 12)
Inequivalent atoms, fractional coordinates:
1 K 0.0000 0.0000 0.0000 x2
2 K 0.0000 0.5000 0.0000 x2
3 K 0.2500 0.2500 0.0000 x4
4 Ce 0.0000 0.0000 0.5000 x2
5 Ce 0.2500 0.2500 0.5000 x4
6 Ni 0.0000 0.5000 0.5000 x2
7 Se 0.0145 0.2683 0.3081 x8
8 Se 0.2364 0.0000 0.7123 x4
9 Se 0.2383 0.5000 0.7089 x4

# 2
Structure and theoretical powder diffraction line list of KCeNpO6 (DFT lattice parameters and positions (PBE); a wavelength of 1.5418 Å).
Peak positions follow from Bragg's law for the DFT cell and can differ from measured ones.

Top 6 peaks for 10° ≤ 2θ ≤ 90°, by intensity:
23.6 deg, I 100, hkl 1 0 2; 16.2 deg, I 98, hkl 0 0 2; 34.1 deg, I 75, hkl 1 1 2; 29.9 deg, I 74, hkl 1 1 0; 44.8 deg, I 68, hkl 1 1 4; 17.1 deg, I 50, hkl 1 0 0

Crystal structure
abc: 5.9820 5.9820 10.9734
angles: 90.00 90.00 120.00
Space group P-31c (No. 163)
Inequivalent atoms, fractional coordinates:
1 K 0.0000 0.0000 0.0000 x2
2 Ce 0.3333 0.6667 0.2500 x2
3 Np 0.3333 0.6667 0.7500 x2
4 O 0.0285 0.3985 0.6530 x12